Entry 1:
The following is a theoretical XRD peak list of PaAg5. It was derived from a structure optimized by DFT (PBE), using Cu Ka.

Principal peaks in the range 2θ = 10–80°, most intense first:
- hkl 1 3 1, 2θ 38.21, rel. 1000
- hkl 2 0 0, 2θ 35.02, rel. 650
- hkl 3 3 1, 2θ 64.93, rel. 403
- hkl 2 0 2, 2θ 50.36, rel. 226
- hkl 2 6 0, 2θ 71.10, rel. 145
- hkl 1 1 1, 2θ 26.40, rel. 73
- hkl 4 0 0, 2θ 73.99, rel. 70
- hkl 0 6 0, 2θ 59.67, rel. 62
- hkl 0 2 1, 2θ 25.88, rel. 44
- hkl 1 1 0, 2θ 19.78, rel. 38

Structure:
a b c (Å): 5.1244 9.2971 5.1251
angles (deg): 90.00 90.00 90.00
Space group Cmmm (No. 65)
Unique sites:
Pa1 0.0000 0.0000 0.0000 (multiplicity 2)
Ag1 0.0000 0.1804 0.5000 (multiplicity 4)
Ag2 0.0000 0.3319 0.0000 (multiplicity 4)
Ag3 0.0000 0.5000 0.5000 (multiplicity 2)

Entry 2:
The following is a theoretical XRD peak list of Zn22Mo. It was derived from a structure optimized by DFT (PBE), using Cu Ka.

Principal peaks in the range 2θ = 10–80°, most intense first:
- hkl 5 3 1, 2θ 38.08, rel. 1000
- hkl 6 2 2, 2θ 42.91, rel. 972
- hkl 5 3 3, 2θ 42.40, rel. 894
- hkl 6 2 0, 2θ 40.82, rel. 543
- hkl 8 8 0, 2θ 77.20, rel. 537
- hkl 7 1 1, 2θ 46.39, rel. 301
- hkl 4 4 4, 2θ 44.92, rel. 274
- hkl 6 6 6, 2θ 69.93, rel. 252
- hkl 9 3 3, 2θ 66.56, rel. 207
- hkl 9 5 5, 2θ 78.27, rel. 189

Structure:
a b c (Å): 13.9796 13.9796 13.9796
angles (deg): 90.00 90.00 90.00
Space group Fd-3m (No. 227, origin choice 2)
Unique sites:
Zn1 0.0000 0.0000 0.0000 (multiplicity 16)
Zn2 0.0000 0.0000 0.5000 (multiplicity 16)
Zn3 0.0160 0.3750 0.3750 (multiplicity 48)
Zn4 0.0619 0.0619 0.8184 (multiplicity 96)
Mo1 0.1250 0.1250 0.6250 (multiplicity 8)

Entry 3:
The following is a theoretical XRD peak list of Nb3PtAu. It was derived from a structure optimized by DFT (PBE), using Cu Ka.

Principal peaks in the range 2θ = 10–80°, most intense first:
- hkl 0 2 4, 2θ 40.49, rel. 1000
- hkl 2 0 5, 2θ 42.33, rel. 804
- hkl 0 0 9, 2θ 35.99, rel. 584
- hkl 1 1 0, 2θ 31.93, rel. 555
- hkl 1 0 4, 2θ 24.24, rel. 525
- hkl 1 1 6, 2θ 40.20, rel. 469
- hkl 2 2 9, 2θ 78.24, rel. 366
- hkl 2 2 0, 2θ 66.75, rel. 352
- hkl 0 2 1, 2θ 37.26, rel. 292
- hkl 0 1 2, 2θ 19.93, rel. 287

Structure:
a b c (Å): 5.6053 5.6053 22.4600
angles (deg): 90.00 90.00 120.00
Space group R-3m (No. 166, hexagonal axes)
Unique sites:
Nb1 0.0035 0.5017 0.1064 (multiplicity 18)
Pt1 0.0000 0.0000 0.1249 (multiplicity 6)
Au1 0.0000 0.0000 0.3327 (multiplicity 6)

Entry 4:
The following is a theoretical XRD peak list of LiTm3. It was derived from a structure optimized by DFT (PBE), using Cu Ka.

Principal peaks in the range 2θ = 10–80°, most intense first:
- hkl 2 0 0, 2θ 33.28, rel. 1000
- hkl 3 1 2, 2θ 59.46, rel. 383
- hkl 1 0 1, 2θ 20.20, rel. 235
- hkl 2 1 1, 2θ 39.24, rel. 131
- hkl 1 1 0, 2θ 23.36, rel. 125
- hkl 2 2 0, 2θ 47.81, rel. 122
- hkl 4 0 0, 2θ 69.87, rel. 118
- hkl 4 2 0, 2θ 79.68, rel. 110
- hkl 0 0 4, 2θ 47.70, rel. 61
- hkl 3 0 1, 2θ 52.37, rel. 57

Structure:
a b c (Å): 5.3808 5.3808 7.6271
angles (deg): 90.00 90.00 90.00
Space group I4/mmm (No. 139)
Unique sites:
Li1 0.0000 0.0000 0.0000 (multiplicity 2)
Tm1 0.0000 0.0000 0.5000 (multiplicity 2)
Tm2 0.0000 0.5000 0.2500 (multiplicity 4)

Entry 5:
The following is a theoretical XRD peak list of ZnP2. It was derived from a structure optimized by DFT (PBE), using Cu Ka.

Principal peaks in the range 2θ = 10–80°, most intense first:
- hkl 1 1 2, 2θ 26.51, rel. 1000
- hkl 1 0 4, 2θ 25.92, rel. 974
- hkl 2 1 6, 2θ 49.62, rel. 512
- hkl 2 1 2, 2θ 40.74, rel. 414
- hkl 1 1 4, 2θ 31.39, rel. 313
- hkl 3 0 4, 2θ 57.75, rel. 268
- hkl 3 1 0, 2θ 57.13, rel. 215
- hkl 1 1 8, 2θ 46.45, rel. 208
- hkl 1 1 1, 2θ 25.16, rel. 200
- hkl 2 2 2, 2θ 51.65, rel. 195

Structure:
a b c (Å): 5.0985 5.0985 18.6124
angles (deg): 90.00 90.00 90.00
Space group P4_32_12 (No. 96)
Unique sites:
Zn1 0.1360 0.3459 0.1993 (multiplicity 8)
P1 0.0094 0.0188 0.3741 (multiplicity 8)
P2 0.1815 0.6981 0.4405 (multiplicity 8)

Entry 6:
The following is a theoretical XRD peak list of Sm2Be6Pt9. It was derived from a structure optimized by DFT (PBE), using Cu Ka.

Principal peaks in the range 2θ = 10–80°, most intense first:
- hkl 2 0 0, 2θ 37.46, rel. 1000
- hkl 2 0 3, 2θ 46.36, rel. 597
- hkl 1 0 3, 2θ 32.35, rel. 520
- hkl 0 0 3, 2θ 26.32, rel. 413
- hkl 2 0 6, 2θ 67.72, rel. 319
- hkl 1 1 3, 2θ 42.13, rel. 277
- hkl 2 1 3, 2θ 57.62, rel. 201
- hkl 2 2 0, 2θ 67.58, rel. 191
- hkl 2 2 3, 2θ 73.88, rel. 143
- hkl 1 0 0, 2θ 18.48, rel. 126

Structure:
a b c (Å): 5.5445 5.5445 10.1589
angles (deg): 90.00 90.00 120.00
Space group P6/mmm (No. 191)
Unique sites:
Sm1 0.0000 0.0000 0.1911 (multiplicity 2)
Be1 0.3333 0.6667 0.1661 (multiplicity 4)
Be2 0.3333 0.6667 0.5000 (multiplicity 2)
Pt1 0.0000 0.5000 0.0000 (multiplicity 3)
Pt2 0.0000 0.5000 0.3348 (multiplicity 6)